Starting from DFT lattice parameters and positions (GGA-PBE), the PXRD pattern of Ba3Ca2H5S2 was simulated for a wavelength of 1.5418 Å.
Neutral-atom scattering factors, no anomalous dispersion.

Largest 10 diffraction maxima, in order of falling intensity, 5 to 70 degrees two-theta:
| 2theta | d (Å) | I (rel.) |
| --- | --- | --- |
| 26.04 | 3.422 | 100 |
| 28.26 | 3.158 | 76 |
| 48.68 | 1.870 | 36 |
| 44.50 | 2.036 | 33 |
| 40.39 | 2.233 | 29 |
| 53.56 | 1.711 | 18 |
| 34.87 | 2.573 | 18 |
| 33.66 | 2.663 | 18 |
| 20.16 | 4.405 | 17 |
| 20.01 | 4.438 | 17 |

Crystal structure
Unit cell a=13.683 b=13.683 c=13.683 alpha=161.21 beta=161.21 gamma=26.69
Element x y z (fractional)
Ba1 0.000 0.000 0.000
Ba2 0.192 0.192 0.000
Ba3 0.808 0.808 0.000
Ca1 0.413 0.413 0.000
Ca2 0.587 0.587 0.000
H1 0.068 0.568 0.500
H2 0.432 0.932 0.500
H3 0.500 0.500 0.000
H4 0.568 0.068 0.500
H5 0.932 0.432 0.500
S1 0.310 0.310 0.000
S2 0.690 0.690 0.000

---

Starting from DFT lattice parameters and positions (GGA-PBE), the PXRD pattern of Na6InO4 was simulated for a wavelength of 1.5418 Å.
Neutral-atom scattering factors, no anomalous dispersion.

Largest 10 diffraction maxima, in order of falling intensity, 5 to 70 degrees two-theta:
| 2theta | d (Å) | I (rel.) |
| --- | --- | --- |
| 19.50 | 4.552 | 100 |
| 30.25 | 2.954 | 90 |
| 38.28 | 2.351 | 60 |
| 46.24 | 1.963 | 57 |
| 32.61 | 2.746 | 37 |
| 16.14 | 5.492 | 35 |
| 46.79 | 1.942 | 33 |
| 55.77 | 1.648 | 27 |
| 31.86 | 2.809 | 24 |
| 61.98 | 1.497 | 20 |

Crystal structure
Unit cell a=7.767 b=7.767 c=5.617 alpha=90.00 beta=90.00 gamma=90.00
Element x y z (fractional)
Na1 0.040 0.540 0.250
Na2 0.040 0.960 0.250
Na3 0.250 0.250 0.161
Na4 0.250 0.250 0.661
Na5 0.460 0.540 0.250
Na6 0.460 0.960 0.250
Na7 0.540 0.040 0.750
Na8 0.540 0.460 0.750
Na9 0.750 0.750 0.339
Na10 0.750 0.750 0.839
Na11 0.960 0.040 0.750
Na12 0.960 0.460 0.750
In1 0.250 0.750 0.750
In2 0.750 0.250 0.250
O1 0.002 0.250 0.433
O2 0.250 0.002 0.933
O3 0.250 0.498 0.933
O4 0.498 0.250 0.433
O5 0.502 0.750 0.567
O6 0.750 0.502 0.067
O7 0.750 0.998 0.067
O8 0.998 0.750 0.567

---

Starting from DFT lattice parameters and positions (GGA-PBE), the PXRD pattern of Ca3Si2Ge8 was simulated for a wavelength of 1.5418 Å.
Neutral-atom scattering factors, no anomalous dispersion.

Largest 10 diffraction maxima, in order of falling intensity, 5 to 70 degrees two-theta:
| 2theta | d (Å) | I (rel.) |
| --- | --- | --- |
| 28.46 | 3.136 | 100 |
| 34.00 | 2.637 | 97 |
| 36.75 | 2.445 | 75 |
| 37.13 | 2.422 | 68 |
| 17.40 | 5.098 | 67 |
| 35.21 | 2.549 | 66 |
| 28.63 | 3.118 | 63 |
| 43.28 | 2.090 | 61 |
| 29.13 | 3.066 | 60 |
| 29.47 | 3.031 | 60 |

Crystal structure
Unit cell a=5.703 b=6.139 c=9.695 alpha=103.16 beta=91.16 gamma=115.56
Element x y z (fractional)
Ca1 0.000 0.000 0.000
Ca2 0.061 0.622 0.310
Ca3 0.939 0.378 0.690
Si1 0.357 0.162 0.769
Si2 0.643 0.838 0.231
Ge1 0.087 0.157 0.373
Ge2 0.389 0.770 0.005
Ge3 0.436 0.836 0.596
Ge4 0.464 0.391 0.225
Ge5 0.536 0.609 0.775
Ge6 0.564 0.164 0.404
Ge7 0.611 0.230 0.995
Ge8 0.913 0.843 0.627